The following is a theoretical powder diffraction line list of KNa7V7CrO24. It was derived from the PBE+U geometry in the Materials Project, using Cu Kα (weighted mean of Kα1 and Kα2).
Lines closer than 0.1° are merged.

Peak list (8 most intense, 10° ≤ 2θ ≤ 80°, by angle)
2θ/deg  d/Å  I (rel.)
23.5  3.791  63
33.4  2.681  100
41.2  2.189  6
48.0  1.895  69
54.1  1.695  18
59.8  1.548  35
70.2  1.340  35
75.2  1.264  7

Structure:
```
KNa7V7CrO24
1.0
5.3609 3.0951 4.3780
-5.3609 3.0951 4.3780
0.0000 -6.1902 4.3780
K Na V Cr O
1 7 7 1 24
Direct
0.0000 0.0000 0.0000
0.0000 0.0000 0.5010
0.0000 0.5010 0.0000
0.9999 0.5010 0.5010
0.5010 0.0000 0.0000
0.5010 0.9999 0.5010
0.5010 0.5010 0.9999
0.5010 0.5010 0.5010
0.2512 0.2512 0.2512
0.2512 0.2512 0.7498
0.2512 0.7498 0.2512
0.2512 0.7498 0.7498
0.7498 0.2512 0.2512
0.7498 0.2512 0.7498
0.7498 0.7498 0.2512
0.7498 0.7498 0.7498
0.0011 0.2527 0.2527
0.0020 0.2526 0.7483
0.0020 0.7483 0.2526
0.0050 0.7482 0.7482
0.2510 0.2510 0.4998
0.2511 0.4990 0.7498
0.2510 0.4998 0.2510
0.2511 0.7498 0.4990
0.2527 0.0011 0.2527
0.2526 0.0020 0.7483
0.2527 0.2527 0.0011
0.2526 0.7483 0.0020
0.4962 0.7499 0.7499
0.4990 0.2511 0.7498
0.4990 0.7498 0.2511
0.4998 0.2510 0.2510
0.7483 0.0020 0.2526
0.7482 0.0050 0.7482
0.7483 0.2526 0.0020
0.7482 0.7482 0.0050
0.7498 0.2511 0.4990
0.7499 0.4962 0.7499
0.7498 0.4990 0.2511
0.7499 0.7499 0.4962
```

***

The following is a theoretical powder diffraction line list of KNa7V6Cr2O24. It was derived from the PBE+U geometry in the Materials Project, using Cu Kα (weighted mean of Kα1 and Kα2).
Lines closer than 0.1° are merged.

Peak list (8 most intense, 10° ≤ 2θ ≤ 80°, by angle)
2θ/deg  d/Å  I (rel.)
23.5  3.782  63
33.5  2.674  100
48.0  1.895  23
48.2  1.889  46
54.3  1.690  12
59.9  1.545  23
60.0  1.543  12
70.4  1.338  29

Structure:
```
KNa7V6Cr2O24
1.0
7.5802 0.0000 0.0000
0.0000 5.3416 5.3453
0.0000 -5.3416 5.3453
K Na V Cr O
1 7 6 2 24
Direct
0.0000 0.0000 0.0000
0.0000 0.0001 0.5010
0.0000 0.5010 0.0001
0.0000 0.5007 0.5007
0.5000 0.0003 0.0003
0.5000 0.0000 0.5010
0.5000 0.5010 0.0000
0.5000 0.5008 0.5008
0.2506 0.2511 0.2511
0.2506 0.2513 0.7499
0.2506 0.7499 0.2513
0.7494 0.2511 0.2511
0.7494 0.2513 0.7499
0.7494 0.7499 0.2513
0.2505 0.7501 0.7501
0.7495 0.7501 0.7501
0.0000 0.2524 0.2524
0.0000 0.2524 0.7485
0.0000 0.7485 0.2524
0.0000 0.7486 0.7486
0.2503 0.2508 0.5000
0.2503 0.4986 0.7503
0.2503 0.5000 0.2508
0.2503 0.7503 0.4986
0.2518 0.0010 0.2524
0.2519 0.0025 0.7485
0.2518 0.2524 0.0010
0.2519 0.7485 0.0025
0.5000 0.2508 0.2508
0.5000 0.2508 0.7502
0.5000 0.7502 0.2508
0.5000 0.7503 0.7503
0.7482 0.0010 0.2524
0.7481 0.0025 0.7485
0.7482 0.2524 0.0010
0.7481 0.7485 0.0025
0.7497 0.2508 0.5000
0.7497 0.4986 0.7503
0.7497 0.5000 0.2508
0.7497 0.7503 0.4986
```

***

The following is a theoretical powder diffraction line list of K3CrO4. It was derived from the PBE+U geometry in the Materials Project, using Cu Kα (weighted mean of Kα1 and Kα2).
Lines closer than 0.1° are merged.

Peak list (8 most intense, 10° ≤ 2θ ≤ 80°, by angle)
2θ/deg  d/Å  I (rel.)
17.8  4.981  16
29.1  3.072  29
29.4  3.040  100
41.6  2.172  19
51.7  1.767  29
52.3  1.749  20
61.0  1.520  8
68.3  1.374  7

Structure:
```
K3CrO4
1.0
6.1442 0.0000 0.0000
0.0000 6.1442 0.0000
0.0000 0.0000 8.5087
K Cr O
6 2 8
Direct
0.0000 0.0000 0.0000
0.0000 0.5000 0.2500
0.0000 0.5000 0.7500
0.5000 0.0000 0.2500
0.5000 0.0000 0.7500
0.5000 0.5000 0.5000
0.0000 0.0000 0.5000
0.5000 0.5000 0.0000
0.1689 0.1689 0.3916
0.1689 0.8311 0.6084
0.3311 0.3311 0.8916
0.3311 0.6689 0.1084
0.6689 0.3311 0.1084
0.6689 0.6689 0.8916
0.8311 0.1689 0.6084
0.8311 0.8311 0.3916
```